Record 1
Calculated powder XRD pattern
Compound: N
Radiation: Cu Kα
Structure: a GGA-PBE-relaxed structure

Crystal structure
a b c (Å): 3.9633 6.8431 4.0450
angles (deg): 90.00 118.36 90.00
Space group P2_1 (No. 4)
Asymmetric unit:
N 0.1112 0.0000 0.2333 (multiplicity 2)
N 0.2448 0.8964 0.4736 (multiplicity 2)

The 6 most intense peaks (2θ = 10–80°), in order of rising 2θ:
index  two_theta  I/Imax
0 0 1  25.02  24
1 0 -1  25.92  20
0 2 0  26.04  69
0 1 1  28.26  55
1 1 0  28.73  99
1 1 -1  29.07  100

Record 2
Calculated powder XRD pattern
Compound: PrSc2Se
Radiation: Cu Kα
Structure: a GGA-PBE-relaxed structure

Crystal structure
a b c (Å): 3.6436 3.6436 27.2601
angles (deg): 90.00 90.00 120.00
Space group R3m (No. 160, hexagonal axes)
Asymmetric unit:
Pr 0.0000 0.0000 0.0000 (multiplicity 3)
Sc 0.0000 0.0000 0.2288 (multiplicity 3)
Sc 0.0000 0.0000 0.4387 (multiplicity 3)
Se 0.0000 0.0000 0.8337 (multiplicity 3)

The 6 most intense peaks (2θ = 10–80°), in order of rising 2θ:
index  two_theta  I/Imax
0 0 6  19.54  42
1 0 1  28.48  43
1 0 4  31.24  32
0 1 5  32.79  100
1 0 7  36.65  42
1 1 0  50.07  39

Record 3
Calculated powder XRD pattern
Compound: Cd5Au3
Radiation: Cu Kα
Structure: a GGA-PBE-relaxed structure

Crystal structure
a b c (Å): 3.7387 4.5512 18.9120
angles (deg): 90.00 90.00 90.00
Space group Imm2 (No. 44)
Asymmetric unit:
Cd 0.0000 0.0000 0.0000 (multiplicity 2)
Cd 0.0000 0.0000 0.2442 (multiplicity 2)
Cd 0.0000 0.0000 0.7388 (multiplicity 2)
Cd 0.0000 0.5000 0.1061 (multiplicity 2)
Cd 0.0000 0.5000 0.3717 (multiplicity 2)
Au 0.0000 0.0000 0.4819 (multiplicity 2)
Au 0.0000 0.5000 0.6254 (multiplicity 2)
Au 0.0000 0.5000 0.8621 (multiplicity 2)

The 6 most intense peaks (2θ = 10–80°), in order of rising 2θ:
index  two_theta  I/Imax
1 1 4  36.45  100
0 0 8  38.07  20
0 2 0  39.60  21
0 2 8  56.10  13
1 1 12  67.73  12
1 3 4  69.80  15

Please write out number 2 again, unchanged.
Calculated powder XRD pattern
Compound: PrSc2Se
Radiation: Cu Kα
Structure: a GGA-PBE-relaxed structure

Crystal structure
a b c (Å): 3.6436 3.6436 27.2601
angles (deg): 90.00 90.00 120.00
Space group R3m (No. 160, hexagonal axes)
Asymmetric unit:
Pr 0.0000 0.0000 0.0000 (multiplicity 3)
Sc 0.0000 0.0000 0.2288 (multiplicity 3)
Sc 0.0000 0.0000 0.4387 (multiplicity 3)
Se 0.0000 0.0000 0.8337 (multiplicity 3)

The 6 most intense peaks (2θ = 10–80°), in order of rising 2θ:
index  two_theta  I/Imax
0 0 6  19.54  42
1 0 1  28.48  43
1 0 4  31.24  32
0 1 5  32.79  100
1 0 7  36.65  42
1 1 0  50.07  39

Please write out number 3 again, unchanged.
Calculated powder XRD pattern
Compound: Cd5Au3
Radiation: Cu Kα
Structure: a GGA-PBE-relaxed structure

Crystal structure
a b c (Å): 3.7387 4.5512 18.9120
angles (deg): 90.00 90.00 90.00
Space group Imm2 (No. 44)
Asymmetric unit:
Cd 0.0000 0.0000 0.0000 (multiplicity 2)
Cd 0.0000 0.0000 0.2442 (multiplicity 2)
Cd 0.0000 0.0000 0.7388 (multiplicity 2)
Cd 0.0000 0.5000 0.1061 (multiplicity 2)
Cd 0.0000 0.5000 0.3717 (multiplicity 2)
Au 0.0000 0.0000 0.4819 (multiplicity 2)
Au 0.0000 0.5000 0.6254 (multiplicity 2)
Au 0.0000 0.5000 0.8621 (multiplicity 2)

The 6 most intense peaks (2θ = 10–80°), in order of rising 2θ:
index  two_theta  I/Imax
1 1 4  36.45  100
0 0 8  38.07  20
0 2 0  39.60  21
0 2 8  56.10  13
1 1 12  67.73  12
1 3 4  69.80  15

What did the second record say?
Calculated powder XRD pattern
Compound: PrSc2Se
Radiation: Cu Kα
Structure: a GGA-PBE-relaxed structure

Crystal structure
a b c (Å): 3.6436 3.6436 27.2601
angles (deg): 90.00 90.00 120.00
Space group R3m (No. 160, hexagonal axes)
Asymmetric unit:
Pr 0.0000 0.0000 0.0000 (multiplicity 3)
Sc 0.0000 0.0000 0.2288 (multiplicity 3)
Sc 0.0000 0.0000 0.4387 (multiplicity 3)
Se 0.0000 0.0000 0.8337 (multiplicity 3)

The 6 most intense peaks (2θ = 10–80°), in order of rising 2θ:
index  two_theta  I/Imax
0 0 6  19.54  42
1 0 1  28.48  43
1 0 4  31.24  32
0 1 5  32.79  100
1 0 7  36.65  42
1 1 0  50.07  39

What is the formula in the first record?
N